1.
This entry pairs a crystal structure of LaTcSe with its theoretical powder diffraction line list. Radiation: a wavelength of 1.5418 Å. Structure: the PBE geometry in Alexandria.
Intensities are scaled so that the largest is 100.

```
data_LaTcSe
_chemical_formula_sum 'La1 Tc1 Se1'
_cell_length_a 4.3852
_cell_length_b 4.3852
_cell_length_c 4.0195
_cell_angle_alpha 90.00
_cell_angle_beta 90.00
_cell_angle_gamma 120.00
_space_group_name_H-M_alt 'P -6 m 2'
_space_group_IT_number 187
_space_group_name_Hall 'P -6 2'
loop_
_atom_site_label
_atom_site_fract_x
_atom_site_fract_y
_atom_site_fract_z
La1 0.0000 0.0000 0.0000
Tc1 0.3333 0.6667 0.5000
Se1 0.6667 0.3333 0.5000
```

Main lines, by angle (2θ from 10° to 80°):
| two_theta | I_rel |
| --- | --- |
| 22.12 | 2 |
| 23.42 | 5 |
| 32.43 | 100 |
| 41.17 | 50 |
| 45.11 | 13 |
| 47.22 | 1 |
| 51.44 | 1 |
| 53.36 | 24 |
| 62.71 | 28 |
| 69.54 | 21 |
| 75.03 | 8 |
| 75.20 | 9 |

2.
This entry pairs a crystal structure of Ti3InPd7 with its theoretical powder diffraction line list. Radiation: a wavelength of 1.5418 Å. Structure: the PBE geometry in Alexandria.
Intensities are scaled so that the largest is 100.

```
data_Ti3InPd7
_chemical_formula_sum 'Ti6 In2 Pd14'
_cell_length_a 8.6042
_cell_length_b 9.4944
_cell_length_c 5.1112
_cell_angle_alpha 90.00
_cell_angle_beta 114.59
_cell_angle_gamma 90.00
_space_group_name_H-M_alt 'C 1 2/m 1'
_space_group_IT_number 12
loop_
_space_group_symop_operation_xyz
'x,y,z'
'-x,-y,-z'
'-x,y,-z'
'x,-y,z'
'x+1/2,y+1/2,z'
'-x+1/2,-y+1/2,-z'
'-x+1/2,y+1/2,-z'
'x+1/2,-y+1/2,z'
loop_
_atom_site_label
_atom_site_fract_x
_atom_site_fract_y
_atom_site_fract_z
Ti1 0.0000 0.0000 0.0000
Ti2 0.0000 0.2302 0.5000
In1 0.0000 0.5000 0.0000
Pd1 0.0000 0.5000 0.5000
Pd2 0.1751 0.0000 0.5704
Pd3 0.1773 0.2268 0.1880
```

Main lines, by angle (2θ from 10° to 80°):
| two_theta | I_rel |
| --- | --- |
| 26.84 | 23 |
| 29.59 | 41 |
| 33.48 | 25 |
| 35.69 | 61 |
| 35.80 | 95 |
| 37.91 | 97 |
| 40.52 | 100 |
| 42.85 | 24 |
| 43.35 | 57 |
| 46.34 | 64 |
| 49.48 | 24 |
| 53.13 | 48 |

3.
This entry pairs a crystal structure of Ac2LaPd9 with its theoretical powder diffraction line list. Radiation: a wavelength of 1.5418 Å. Structure: the PBE geometry in Alexandria.
Intensities are scaled so that the largest is 100.

```
data_Ac2LaPd9
_chemical_formula_sum 'Ac2 La1 Pd9'
_cell_length_a 4.2914
_cell_length_b 4.2914
_cell_length_c 12.8615
_cell_angle_alpha 90.00
_cell_angle_beta 90.00
_cell_angle_gamma 90.00
_space_group_name_H-M_alt 'P 4/m m m'
_space_group_IT_number 123
_space_group_name_Hall '-P 4 2'
loop_
_atom_site_label
_atom_site_fract_x
_atom_site_fract_y
_atom_site_fract_z
Ac1 0.0000 0.0000 0.1684
La1 0.0000 0.0000 0.5000
Pd1 0.0000 0.5000 0.0000
Pd2 0.0000 0.5000 0.3378
Pd3 0.5000 0.5000 0.1699
Pd4 0.5000 0.5000 0.5000
```

Main lines, by angle (2θ from 10° to 80°):
| two_theta | I_rel |
| --- | --- |
| 20.70 | 8 |
| 21.83 | 1 |
| 29.44 | 7 |
| 36.27 | 100 |
| 42.13 | 49 |
| 47.38 | 4 |
| 52.23 | 3 |
| 61.10 | 32 |
| 65.25 | 2 |
| 69.26 | 1 |
| 73.17 | 38 |
| 77.00 | 11 |

Which formula does entry 3 have? Ac2LaPd9